Computed X-ray powder pattern of MgMoPb2O6 for Cu Kα (λ = 1.5418 Å), from the PBE+U geometry in Alexandria.
Neutral-atom scattering factors, no anomalous dispersion.

Atomic structure:
```
MgMoPb2O6
1.0
0.000 4.030 4.030
4.030 0.000 4.030
4.030 4.030 0.000
Mg Mo Pb O
1 1 2 6
direct
0.000 0.000 0.000
0.500 0.500 0.500
0.250 0.250 0.250
0.750 0.750 0.750
0.258 0.258 0.742
0.258 0.742 0.258
0.258 0.742 0.742
0.742 0.258 0.258
0.742 0.258 0.742
0.742 0.742 0.258
```

Top 10 peaks for 2θ from 15° to 90°, in order of rising 2θ:
2θ/deg  I/Imax
22.1  281
31.4  1000
38.7  226
45.0  293
50.6  148
55.9  407
65.5  183
70.0  77
74.4  182
78.8  80